The following is a computed X-ray powder pattern of Th2Co3TcB12. It was derived from the GGA-PBE geometry in Alexandria, using Cu Kα, 1.54184 Å.
Neutral-atom scattering factors, no anomalous dispersion.

Top 10 peaks for 2θ from 10° to 90°, by angle:
- 11.68 deg, rel. 57
- 23.48 deg, rel. 26
- 24.34 deg, rel. 48
- 27.07 deg, rel. 30
- 32.46 deg, rel. 45
- 34.61 deg, rel. 100
- 36.80 deg, rel. 21
- 47.95 deg, rel. 24
- 49.87 deg, rel. 23
- 59.29 deg, rel. 22

Cell and atoms:
Cell: 8.221 8.221 8.221 Å, 39.21 39.21 39.21°
Atoms (fractional coordinates):
Th1 0.139 0.139 0.139
Th2 0.861 0.861 0.861
Co1 0.000 0.500 0.500
Co2 0.500 0.000 0.500
Co3 0.500 0.500 0.000
Tc1 0.500 0.500 0.500
B1 0.160 0.160 0.475
B2 0.160 0.475 0.160
B3 0.164 0.553 0.553
B4 0.447 0.447 0.836
B5 0.447 0.836 0.447
B6 0.475 0.160 0.160
B7 0.525 0.840 0.840
B8 0.553 0.164 0.553
B9 0.553 0.553 0.164
B10 0.836 0.447 0.447
B11 0.840 0.525 0.840
B12 0.840 0.840 0.525

The following is a computed X-ray powder pattern of CsHfTi2Al. It was derived from the GGA-PBE geometry in Alexandria, using Cu Kα, 1.54184 Å.
Neutral-atom scattering factors, no anomalous dispersion.

Top 10 peaks for 2θ from 10° to 90°, by angle:
- 17.45 deg, rel. 100
- 24.77 deg, rel. 32
- 29.42 deg, rel. 34
- 34.41 deg, rel. 38
- 35.32 deg, rel. 42
- 38.83 deg, rel. 20
- 39.65 deg, rel. 26
- 46.61 deg, rel. 37
- 50.13 deg, rel. 26
- 59.80 deg, rel. 18

Cell and atoms:
Cell: 5.083 5.083 6.072 Å, 90.00 90.00 90.00°
Atoms (fractional coordinates):
Cs1 0.000 0.000 0.000
Hf1 0.000 0.000 0.500
Ti1 0.000 0.500 0.500
Ti2 0.500 0.000 0.500
Al1 0.500 0.500 0.000

The following is a computed X-ray powder pattern of BeCu4Si. It was derived from the GGA-PBE geometry in Alexandria, using Cu Kα, 1.54184 Å.
Neutral-atom scattering factors, no anomalous dispersion.

Top 10 peaks for 2θ from 10° to 90°, by angle:
- 27.35 deg, rel. 20
- 27.49 deg, rel. 19
- 36.21 deg, rel. 15
- 41.39 deg, rel. 50
- 44.26 deg, rel. 85
- 44.54 deg, rel. 100
- 50.36 deg, rel. 18
- 52.71 deg, rel. 12
- 77.49 deg, rel. 14
- 77.68 deg, rel. 17

Cell and atoms:
Cell: 6.946 6.946 4.363 Å, 90.00 90.00 138.16°
Atoms (fractional coordinates):
Be1 0.000 0.000 0.250
Be2 0.000 0.000 0.750
Cu1 0.017 0.319 0.500
Cu2 0.278 0.421 0.000
Cu3 0.319 0.017 0.000
Cu4 0.421 0.278 0.500
Cu5 0.579 0.722 0.500
Cu6 0.681 0.983 0.000
Cu7 0.722 0.579 0.000
Cu8 0.983 0.681 0.500
Si1 0.000 0.500 0.000
Si2 0.500 0.000 0.500